# BaNaMnBiO6
Computed PXRD pattern, Cu Ka. Input: a structure optimized by DFT (GGA+U).
Intensities are scaled so that the largest is 100.

Cell and atoms:
a b c (Å): 5.8004 5.8004 5.8004
angles (deg): 60.00 60.00 60.00
Element x y z (fractional)
Ba 0.0000 0.0000 0.0000
Na 0.5000 0.5000 0.5000
Mn 0.7500 0.7500 0.7500
Bi 0.2500 0.2500 0.2500
O 0.5105 0.5105 0.9895
O 0.5105 0.9895 0.5105
O 0.5105 0.9895 0.9895
O 0.9895 0.5105 0.5105
O 0.9895 0.5105 0.9895
O 0.9895 0.9895 0.5105

Largest 10 diffraction maxima, low angle first, 10 to 90 degrees two-theta:
2θ/deg  I (rel.)
18.74  46
21.67  16
30.83  100
36.32  30
44.16  33
48.37  15
54.83  40
64.23  20
72.94  18
89.38  22